[1]
Ba3AlI: theoretical PXRD pattern (λ = 1.5418 Å (Cu Kα)), based on a DFT-relaxed cell (GGA-PBE, Alexandria).
Lines closer than 0.1° are merged.

Crystal structure
```
data_Ba3AlI
_chemical_formula_sum 'Ba6 Al2 I2'
_cell_length_a 10.2901
_cell_length_b 4.6008
_cell_length_c 10.5882
_cell_angle_alpha 90.00
_cell_angle_beta 111.60
_cell_angle_gamma 90.00
_space_group_name_H-M_alt 'P 1 21/m 1'
_space_group_IT_number 11
loop_
_space_group_symop_operation_xyz
'x,y,z'
'-x,-y,-z'
'-x,y+1/2,-z'
'x,-y+1/2,z'
loop_
_atom_site_label
_atom_site_fract_x
_atom_site_fract_y
_atom_site_fract_z
Ba1 0.0676 0.2500 0.2476
Ba2 0.3003 0.2500 0.9757
Ba3 0.3187 0.7500 0.6245
Al1 0.0534 0.2500 0.5721
I1 0.3697 0.7500 0.2971
```

Peak list (12 most intense, 2θ = 10–90°, in order of falling intensity)
d (Å)	two_theta	I/Imax
3.620	24.6	100
3.147	28.4	74
3.528	25.2	54
3.420	26.1	45
3.316	26.9	37
3.189	28.0	36
2.396	37.5	33
2.300	39.2	29
3.282	27.2	23
1.867	48.8	20
1.927	47.2	19
1.955	46.5	17

[2]
LaBePt3: theoretical PXRD pattern (λ = 1.5418 Å (Cu Kα)), based on a DFT-relaxed cell (GGA-PBE, Alexandria).
Lines closer than 0.1° are merged.

Crystal structure
```
data_LaBePt3
_chemical_formula_sum 'La3 Be3 Pt9'
_cell_length_a 5.9180
_cell_length_b 5.9180
_cell_length_c 8.9409
_cell_angle_alpha 90.00
_cell_angle_beta 90.00
_cell_angle_gamma 120.00
_space_group_name_H-M_alt 'R -3 m'
_space_group_IT_number 166
_space_group_name_Hall '-R 3 2"'
loop_
_atom_site_label
_atom_site_fract_x
_atom_site_fract_y
_atom_site_fract_z
La1 0.0000 0.0000 0.0000
Be1 0.0000 0.0000 0.5000
Pt1 0.0000 0.5000 0.0000
```

Peak list (12 most intense, 2θ = 10–90°, in order of falling intensity)
d (Å)	two_theta	I/Imax
2.463	36.5	100
2.223	40.6	77
2.980	30.0	56
1.684	54.5	33
1.325	71.1	29
1.480	62.8	22
1.466	63.4	20
1.268	74.9	13
1.232	77.5	12
1.143	84.8	9
1.112	87.8	9
1.490	62.3	7

[3]
TbPrHo2Sc2: theoretical PXRD pattern (λ = 1.5418 Å (Cu Kα)), based on a DFT-relaxed cell (GGA-PBE, Alexandria).
Lines closer than 0.1° are merged.

Crystal structure
```
data_TbPrHo2Sc2
_chemical_formula_sum 'Tb2 Pr2 Ho4 Sc4'
_cell_length_a 6.7860
_cell_length_b 9.5556
_cell_length_c 5.4961
_cell_angle_alpha 90.00
_cell_angle_beta 90.00
_cell_angle_gamma 90.00
_space_group_name_H-M_alt 'P n n m'
_space_group_IT_number 58
loop_
_space_group_symop_operation_xyz
'x,y,z'
'-x,-y,-z'
'-x,-y,z'
'x,y,-z'
'x+1/2,-y+1/2,-z+1/2'
'-x+1/2,y+1/2,z+1/2'
'-x+1/2,y+1/2,-z+1/2'
'x+1/2,-y+1/2,z+1/2'
loop_
_atom_site_label
_atom_site_fract_x
_atom_site_fract_y
_atom_site_fract_z
Tb1 0.0000 0.0000 0.0000
Pr1 0.0000 0.5000 0.5000
Ho1 0.2480 0.1665 0.5000
Sc1 0.2502 0.3333 0.0000
```

Peak list (12 most intense, 2θ = 10–90°, in order of falling intensity)
d (Å)	two_theta	I/Imax
2.765	32.4	100
2.753	32.5	98
3.902	22.8	38
1.951	46.6	36
1.593	57.9	31
1.444	64.5	27
1.589	58.1	25
1.159	83.4	9
1.696	54.1	8
1.378	68.0	8
2.044	44.3	7
4.769	18.6	6

[4]
K14Pm2O9: theoretical PXRD pattern (λ = 1.5418 Å (Cu Kα)), based on a DFT-relaxed cell (GGA-PBE, Alexandria).
Lines closer than 0.1° are merged.

Crystal structure
```
data_K14Pm2O9
_chemical_formula_sum 'K14 Pm2 O9'
_cell_length_a 7.9159
_cell_length_b 7.9159
_cell_length_c 11.0790
_cell_angle_alpha 90.00
_cell_angle_beta 90.00
_cell_angle_gamma 120.00
_space_group_name_H-M_alt 'P -3'
_space_group_IT_number 147
loop_
_space_group_symop_operation_xyz
'x,y,z'
'-x,-y,-z'
'-y,x-y,z'
'y,-x+y,-z'
'-x+y,-x,z'
'x-y,x,-z'
loop_
_atom_site_label
_atom_site_fract_x
_atom_site_fract_y
_atom_site_fract_z
K1 0.0000 0.0000 0.2469
K2 0.0543 0.6862 0.9106
K3 0.1014 0.3815 0.5910
Pm1 0.3333 0.6667 0.2714
O1 0.0000 0.0000 0.0000
O2 0.1053 0.3704 0.3418
O3 0.3333 0.6667 0.0673
```

Peak list (12 most intense, 2θ = 10–90°, in order of falling intensity)
d (Å)	two_theta	I/Imax
3.220	27.7	100
5.830	15.2	95
2.523	35.6	61
2.269	39.7	56
3.275	27.2	51
3.251	27.4	47
2.285	39.4	40
1.862	48.9	25
1.690	54.3	20
1.684	54.5	16
1.444	64.5	14
1.557	59.4	14